(1)
Diffraction record for Mg2Zn5Cu2Ni. The powder diffraction line list is calculated, not measured: it uses DFT lattice parameters and positions (GGA-PBE) and Cu Kα (λ = 1.5418 Å).
Neutral-atom scattering factors, no anomalous dispersion.

```
Mg2Zn5Cu2Ni
1.0
9.3296 0.0000 0.0000
0.0000 9.3296 0.0000
0.0000 0.0000 3.4768
Mg Zn Cu Ni
4 10 4 2
Cartesian
1.6051 3.0597 0.0000
3.0597 7.7245 0.0000
6.2699 1.6051 0.0000
7.7245 6.2699 0.0000
0.0000 4.6648 1.7384
0.5661 7.5449 1.7384
1.7848 0.5661 1.7384
2.8801 5.2310 1.7384
4.0987 2.8801 1.7384
4.6648 0.0000 1.7384
5.2310 6.4496 1.7384
6.4496 4.0987 1.7384
7.5449 8.7635 1.7384
8.7635 1.7848 1.7384
1.2051 5.8699 0.0000
3.4597 1.2051 0.0000
5.8699 8.1245 0.0000
8.1245 3.4597 0.0000
0.0000 0.0000 0.0000
4.6648 4.6648 0.0000
```

Most intense lines, 10° ≤ 2θ ≤ 80°, by angle:
| 2theta | I (rel.) |
| --- | --- |
| 19.0 | 15 |
| 21.3 | 33 |
| 37.6 | 15 |
| 39.8 | 22 |
| 40.1 | 100 |
| 41.0 | 13 |
| 43.6 | 36 |
| 46.9 | 10 |
| 48.0 | 13 |
| 52.7 | 19 |

(2)
Diffraction record for BaCd7. The powder diffraction line list is calculated, not measured: it uses DFT lattice parameters and positions (GGA-PBE) and Cu Kα (λ = 1.5418 Å).
Neutral-atom scattering factors, no anomalous dispersion.

```
BaCd7
1.0
6.1257 -4.1180 0.0000
6.1257 4.1180 0.0000
-1.6658 0.0000 4.2703
Ba Cd
1 7
Cartesian
0.0000 0.0000 0.0000
3.8622 1.5391 1.5486
1.7678 0.0000 3.1840
6.7233 1.5391 2.7217
6.1257 0.0000 0.0000
3.8622 -1.5391 1.5486
8.8177 0.0000 1.0863
6.7233 -1.5391 2.7217
```

Most intense lines, 10° ≤ 2θ ≤ 80°, by angle:
| 2theta | I (rel.) |
| --- | --- |
| 30.1 | 49 |
| 30.3 | 100 |
| 30.7 | 48 |
| 38.2 | 52 |
| 38.4 | 77 |
| 38.6 | 18 |
| 38.9 | 18 |
| 39.3 | 51 |
| 55.8 | 25 |
| 56.4 | 27 |

(3)
Diffraction record for HgS5Br. The powder diffraction line list is calculated, not measured: it uses DFT lattice parameters and positions (GGA-PBE) and Cu Kα (λ = 1.5418 Å).
Neutral-atom scattering factors, no anomalous dispersion.

```
HgS5Br
1.0
4.3666 0.0000 0.0000
1.7084 5.5182 0.0000
0.2395 2.4456 8.9883
Hg S Br
1 5 1
Cartesian
0.0000 0.0000 0.0000
1.5830 3.2551 4.5177
2.1007 5.4001 8.9415
3.0369 2.2776 5.6173
4.8921 4.7067 7.9309
4.5044 1.8111 4.2404
3.9357 5.3049 1.7562
```

Most intense lines, 10° ≤ 2θ ≤ 80°, by angle:
| 2theta | I (rel.) |
| --- | --- |
| 16.6 | 100 |
| 17.0 | 98 |
| 19.8 | 91 |
| 22.3 | 57 |
| 28.1 | 61 |
| 28.4 | 78 |
| 30.1 | 69 |
| 32.5 | 73 |
| 33.7 | 43 |
| 34.3 | 44 |

(4)
Diffraction record for InGeAs2. The powder diffraction line list is calculated, not measured: it uses DFT lattice parameters and positions (GGA-PBE) and Cu Kα (λ = 1.5418 Å).
Neutral-atom scattering factors, no anomalous dispersion.

```
InGeAs2
1.0
-3.0285 3.0285 6.2277
3.0285 -3.0285 6.2277
3.0285 3.0285 -6.2277
In Ge As
2 2 4
Cartesian
0.0000 0.0000 0.0000
0.0000 3.0285 3.1139
3.0285 0.0000 3.1139
0.0000 0.0000 6.2277
1.5142 -1.3958 4.6708
1.6327 1.5142 1.5569
1.5142 4.4242 -1.5569
1.3958 1.5142 7.7846
```

Most intense lines, 10° ≤ 2θ ≤ 80°, by angle:
| 2theta | I (rel.) |
| --- | --- |
| 25.2 | 100 |
| 41.6 | 51 |
| 42.2 | 24 |
| 48.7 | 16 |
| 49.8 | 30 |
| 61.2 | 8 |
| 66.4 | 12 |
| 67.3 | 7 |
| 75.5 | 8 |
| 76.7 | 15 |

(5)
Diffraction record for K2TiCrS4. The powder diffraction line list is calculated, not measured: it uses DFT lattice parameters and positions (GGA-PBE) and Cu Kα (λ = 1.5418 Å).
Neutral-atom scattering factors, no anomalous dispersion.

```
K2TiCrS4
1.0
-3.5647 3.5647 4.1550
3.5647 -3.5647 4.1550
3.5647 3.5647 -4.1550
K Ti Cr S
2 1 1 4
Cartesian
0.0000 0.0000 0.0000
0.0000 3.5647 2.0775
0.0000 0.0000 4.1550
3.5647 0.0000 2.0775
1.6423 -1.0402 2.9376
2.5246 1.9225 1.2174
1.9225 4.6049 -1.2174
1.0402 1.6423 5.3724
```

Most intense lines, 10° ≤ 2θ ≤ 80°, by angle:
| 2theta | I (rel.) |
| --- | --- |
| 16.4 | 26 |
| 25.0 | 15 |
| 27.8 | 100 |
| 30.0 | 20 |
| 35.6 | 27 |
| 45.8 | 38 |
| 47.3 | 10 |
| 50.9 | 24 |
| 57.8 | 12 |
| 71.1 | 8 |

(6)
Diffraction record for P. The powder diffraction line list is calculated, not measured: it uses DFT lattice parameters and positions (GGA-PBE) and Cu Kα (λ = 1.5418 Å).
Neutral-atom scattering factors, no anomalous dispersion.

```
P
1.0
5.3994 0.0000 0.0000
0.0000 5.4871 0.0000
0.0000 0.0000 10.7395
P
16
Cartesian
1.0373 0.9867 2.5572
1.0574 2.4692 10.3311
1.1529 3.2678 2.7614
1.2336 5.0465 5.8154
1.4662 0.4406 0.4457
1.5468 2.2193 8.1312
1.6423 3.0178 4.9613
1.6624 4.5004 7.9269
3.7370 1.7569 8.1823
3.7571 0.2743 0.4084
3.8526 4.9628 7.9781
3.9333 3.1841 4.9241
4.1659 2.3030 10.2938
4.2465 0.5243 2.6083
4.3420 5.2128 5.7782
4.3621 3.7302 2.8126
```

Most intense lines, 10° ≤ 2θ ≤ 80°, by angle:
| 2theta | I (rel.) |
| --- | --- |
| 18.2 | 69 |
| 23.2 | 59 |
| 33.2 | 100 |
| 33.4 | 78 |
| 33.7 | 71 |
| 36.8 | 27 |
| 47.8 | 36 |
| 48.0 | 34 |
| 54.3 | 43 |
| 65.1 | 29 |

(7)
Diffraction record for Sr3TiGa10O20. The powder diffraction line list is calculated, not measured: it uses DFT lattice parameters and positions (GGA-PBE) and Cu Kα (λ = 1.5418 Å).
Neutral-atom scattering factors, no anomalous dispersion.

```
Sr3TiGa10O20
1.0
7.8601 -5.9141 0.0000
7.8601 5.9141 0.0000
-1.6687 0.0000 4.8926
Sr Ti Ga O
3 1 10 20
Cartesian
0.0000 0.0000 0.0000
3.8573 0.0000 1.4376
10.1942 0.0000 3.4550
7.8601 0.0000 0.0000
1.1582 1.5994 3.1959
4.2751 2.5752 4.0859
1.1582 -1.5994 3.1959
7.0258 1.6004 2.4463
9.7764 2.5752 0.8067
4.2751 -2.5752 4.0859
7.0258 -1.6004 2.4463
12.8933 1.5994 1.6967
9.7764 -2.5752 0.8067
12.8933 -1.5994 1.6967
2.2159 1.6455 0.0617
0.6675 0.0000 2.4128
3.0022 1.6196 3.1668
5.6365 2.9388 2.8263
2.2159 -1.6455 0.0617
6.5070 1.3976 0.5228
8.4150 2.9388 2.0663
3.0022 -1.6196 3.1668
5.7979 0.0000 2.9927
7.5445 1.3976 4.3697
6.5070 -1.3976 0.5228
8.2536 0.0000 1.8999
11.0493 1.6196 1.7258
5.6365 -2.9388 2.8263
7.5445 -1.3976 4.3697
11.8356 1.6455 4.8309
8.4150 -2.9388 2.0663
11.0493 -1.6196 1.7258
13.3840 0.0000 2.4798
11.8356 -1.6455 4.8309
```

Most intense lines, 10° ≤ 2θ ≤ 80°, by angle:
| 2theta | I (rel.) |
| --- | --- |
| 28.3 | 100 |
| 28.5 | 87 |
| 29.1 | 76 |
| 29.2 | 53 |
| 30.5 | 45 |
| 30.6 | 80 |
| 30.9 | 83 |
| 34.7 | 94 |
| 35.5 | 76 |
| 56.1 | 50 |

(8)
Diffraction record for SrAgSn2. The powder diffraction line list is calculated, not measured: it uses DFT lattice parameters and positions (GGA-PBE) and Cu Kα (λ = 1.5418 Å).
Neutral-atom scattering factors, no anomalous dispersion.

```
SrAgSn2
1.0
5.7358 0.0000 0.0000
0.0000 6.6149 0.0000
-3.4929 0.0000 11.7726
Sr Ag Sn
4 4 8
Cartesian
-0.9018 0.9114 4.2113
-2.6482 2.3961 10.0976
4.8912 4.2188 1.6750
3.1447 5.7035 7.5612
0.4026 0.7936 1.1773
-1.3439 2.5139 7.0636
3.5868 4.1010 4.7089
1.8403 5.8213 10.5952
0.4659 4.6246 5.5876
-1.2806 5.2977 11.4739
0.2177 0.7994 8.7828
1.9642 2.5081 2.8965
0.2788 4.1068 8.8761
2.0252 5.8155 2.9898
3.5235 1.3172 0.2986
1.7771 1.9903 6.1849
```

Most intense lines, 10° ≤ 2θ ≤ 80°, by angle:
| 2theta | I (rel.) |
| --- | --- |
| 15.4 | 37 |
| 30.1 | 85 |
| 31.4 | 80 |
| 33.0 | 46 |
| 33.6 | 60 |
| 34.6 | 40 |
| 35.4 | 60 |
| 35.5 | 100 |
| 38.6 | 49 |
| 41.7 | 37 |

(9)
Diffraction record for Li2TaNi8. The powder diffraction line list is calculated, not measured: it uses DFT lattice parameters and positions (GGA-PBE) and Cu Kα (λ = 1.5418 Å).
Neutral-atom scattering factors, no anomalous dispersion.

```
Li2TaNi8
1.0
3.6463 -4.6903 0.0000
3.6463 4.6903 0.0000
0.0000 0.0000 3.8272
Li Ta Ni
2 1 8
Cartesian
3.6463 3.6020 0.0000
3.6463 -3.6020 0.0000
3.6463 0.0000 1.9136
1.2094 0.0000 1.9136
2.3812 1.2752 0.0000
3.6463 2.4775 1.9136
2.3812 -1.2752 0.0000
4.9115 1.2752 0.0000
3.6463 -2.4775 1.9136
4.9115 -1.2752 0.0000
6.0833 0.0000 1.9136
```

Most intense lines, 10° ≤ 2θ ≤ 80°, by angle:
| 2theta | I (rel.) |
| --- | --- |
| 15.4 | 94 |
| 30.1 | 30 |
| 34.0 | 70 |
| 39.2 | 38 |
| 45.2 | 95 |
| 45.4 | 100 |
| 46.0 | 28 |
| 47.4 | 59 |
| 47.5 | 46 |
| 69.3 | 35 |

(10)
Diffraction record for CaHoAg6. The powder diffraction line list is calculated, not measured: it uses DFT lattice parameters and positions (GGA-PBE) and Cu Kα (λ = 1.5418 Å).
Neutral-atom scattering factors, no anomalous dispersion.

```
CaHoAg6
1.0
5.4905 0.0000 0.0000
0.0000 5.4905 0.0000
0.0000 0.0000 5.4905
Ca Ho Ag
1 1 6
Cartesian
0.0000 0.0000 0.0000
2.7453 2.7453 2.7453
0.0000 1.3781 2.7453
0.0000 4.1124 2.7453
1.3781 2.7453 0.0000
2.7453 0.0000 1.3781
2.7453 0.0000 4.1124
4.1124 2.7453 0.0000
```

Most intense lines, 10° ≤ 2θ ≤ 80°, by angle:
| 2theta | I (rel.) |
| --- | --- |
| 16.1 | 12 |
| 28.2 | 4 |
| 32.6 | 29 |
| 36.6 | 100 |
| 40.2 | 65 |
| 58.2 | 8 |
| 60.8 | 21 |
| 63.4 | 32 |
| 68.3 | 13 |
| 77.8 | 9 |

(11)
Diffraction record for Dy7Tm12Th. The powder diffraction line list is calculated, not measured: it uses DFT lattice parameters and positions (GGA-PBE) and Cu Kα (λ = 1.5418 Å).
Neutral-atom scattering factors, no anomalous dispersion.

```
Dy7Tm12Th
1.0
6.0379 3.4860 5.0645
-6.0379 3.4860 5.0645
0.0000 -6.9720 5.0645
Dy Tm Th
7 12 1
Cartesian
0.0000 0.0000 0.0000
-2.0164 -0.4032 4.6401
1.3574 -1.5446 4.6400
0.6590 1.9479 4.6400
-0.6590 -1.9479 10.5533
-1.3574 1.5446 10.5533
2.0164 0.4032 10.5533
-0.7081 -4.0749 3.8827
-3.1749 2.6507 3.8827
-3.2725 -1.0467 8.1518
-0.7297 -3.3574 7.0416
-3.8830 -1.4242 11.3107
-2.5427 2.3107 7.0416
2.5427 -2.3107 8.1518
3.8830 1.4242 3.8827
0.7297 3.3574 8.1518
3.2725 1.0467 7.0416
3.1749 -2.6507 11.3107
0.7081 4.0749 11.3107
0.0000 0.0000 7.5967
```

Most intense lines, 10° ≤ 2θ ≤ 80°, by angle:
| 2theta | I (rel.) |
| --- | --- |
| 30.6 | 31 |
| 31.1 | 24 |
| 31.4 | 100 |
| 32.7 | 59 |
| 33.1 | 53 |
| 34.1 | 30 |
| 34.6 | 15 |
| 53.5 | 14 |
| 54.1 | 18 |
| 54.8 | 25 |

Repeat the first record exactly.
Diffraction record for Mg2Zn5Cu2Ni. The powder diffraction line list is calculated, not measured: it uses DFT lattice parameters and positions (GGA-PBE) and Cu Kα (λ = 1.5418 Å).
Neutral-atom scattering factors, no anomalous dispersion.

```
Mg2Zn5Cu2Ni
1.0
9.3296 0.0000 0.0000
0.0000 9.3296 0.0000
0.0000 0.0000 3.4768
Mg Zn Cu Ni
4 10 4 2
Cartesian
1.6051 3.0597 0.0000
3.0597 7.7245 0.0000
6.2699 1.6051 0.0000
7.7245 6.2699 0.0000
0.0000 4.6648 1.7384
0.5661 7.5449 1.7384
1.7848 0.5661 1.7384
2.8801 5.2310 1.7384
4.0987 2.8801 1.7384
4.6648 0.0000 1.7384
5.2310 6.4496 1.7384
6.4496 4.0987 1.7384
7.5449 8.7635 1.7384
8.7635 1.7848 1.7384
1.2051 5.8699 0.0000
3.4597 1.2051 0.0000
5.8699 8.1245 0.0000
8.1245 3.4597 0.0000
0.0000 0.0000 0.0000
4.6648 4.6648 0.0000
```

Most intense lines, 10° ≤ 2θ ≤ 80°, by angle:
| 2theta | I (rel.) |
| --- | --- |
| 19.0 | 15 |
| 21.3 | 33 |
| 37.6 | 15 |
| 39.8 | 22 |
| 40.1 | 100 |
| 41.0 | 13 |
| 43.6 | 36 |
| 46.9 | 10 |
| 48.0 | 13 |
| 52.7 | 19 |